[1]
# CeBiPt
Theoretical powder X-ray diffraction pattern, λ = 1.5418 Å (Cu Kα). Input: a DFT-relaxed cell (PBE, the Materials Project).
Intensities are scaled so that the largest is 100.

The 9 most intense peaks (2θ from 5° to 70°), in order of falling intensity:
2θ/deg  intensity
37.0  100.0
66.7  36.6
22.4  33.6
43.7  18.1
53.3  17.8
25.9  10.4
58.5  7.8
60.2  4.1
45.7  3.1

Cell and atoms:
Unit cell a=4.8609 b=4.8609 c=4.8609 alpha=60.00 beta=60.00 gamma=60.00
Positions (direct):
Ce (0.0000, 0.0000, 0.0000)
Bi (0.5000, 0.5000, 0.5000)
Pt (0.7500, 0.7500, 0.7500)

[2]
# Y2CoSi2
Theoretical powder X-ray diffraction pattern, λ = 1.5418 Å (Cu Kα). Input: a DFT-relaxed cell (PBE, the Materials Project).
Intensities are scaled so that the largest is 100.

The 10 most intense peaks (2θ from 5° to 70°), in order of falling intensity:
2θ/deg  intensity
34.3  100.0
37.6  58.1
43.7  53.6
41.9  53.6
33.8  53.2
34.9  50.0
34.2  49.3
41.2  31.7
23.6  31.4
66.6  26.1

Cell and atoms:
Unit cell a=5.6255 b=5.6255 c=10.0059 alpha=116.75 beta=116.75 gamma=43.17
Positions (direct):
Y (0.0014, 0.0014, 0.3291)
Y (0.1867, 0.1867, 0.1072)
Y (0.8133, 0.8133, 0.8928)
Y (0.9986, 0.9986, 0.6709)
Co (0.2732, 0.2732, 0.6243)
Co (0.7268, 0.7268, 0.3757)
Si (0.3486, 0.3486, 0.4338)
Si (0.4934, 0.4934, 0.1250)
Si (0.5066, 0.5066, 0.8750)
Si (0.6514, 0.6514, 0.5662)

[3]
# Mg14CuSiO16
Theoretical powder X-ray diffraction pattern, λ = 1.5418 Å (Cu Kα). Input: a DFT-relaxed cell (PBE, the Materials Project).
Intensities are scaled so that the largest is 100.

The 10 most intense peaks (2θ from 5° to 70°), in order of falling intensity:
2θ/deg  intensity
42.1  100.0
61.4  55.9
42.5  49.9
61.1  27.8
36.4  23.9
10.3  7.7
14.6  6.5
43.6  5.6
37.9  4.2
25.6  3.2

Cell and atoms:
Unit cell a=8.5783 b=8.5783 c=4.2568 alpha=90.00 beta=90.00 gamma=90.00
Positions (direct):
Mg (0.0000, 0.2453, 0.0000)
Mg (0.0000, 0.5000, 0.5000)
Mg (0.0000, 0.7547, 0.0000)
Mg (0.2434, 0.2434, 0.5000)
Mg (0.2434, 0.7566, 0.5000)
Mg (0.2453, 0.0000, 0.0000)
Mg (0.2471, 0.5000, 0.0000)
Mg (0.5000, 0.0000, 0.5000)
Mg (0.5000, 0.2471, 0.0000)
Mg (0.5000, 0.7529, 0.0000)
Mg (0.7529, 0.5000, 0.0000)
Mg (0.7547, 0.0000, 0.0000)
Mg (0.7566, 0.2434, 0.5000)
Mg (0.7566, 0.7566, 0.5000)
Cu (0.0000, 0.0000, 0.5000)
Si (0.5000, 0.5000, 0.5000)
O (0.0000, 0.0000, 0.0000)
O (0.0000, 0.2686, 0.5000)
O (0.0000, 0.5000, 0.0000)
O (0.0000, 0.7314, 0.5000)
O (0.2509, 0.2509, 0.0000)
O (0.2509, 0.7491, 0.0000)
O (0.2670, 0.5000, 0.5000)
O (0.2686, 0.0000, 0.5000)
O (0.5000, 0.0000, 0.0000)
O (0.5000, 0.2670, 0.5000)
O (0.5000, 0.5000, 0.0000)
O (0.5000, 0.7330, 0.5000)
O (0.7314, 0.0000, 0.5000)
O (0.7330, 0.5000, 0.5000)
O (0.7491, 0.2509, 0.0000)
O (0.7491, 0.7491, 0.0000)

[4]
# SmYMg2
Theoretical powder X-ray diffraction pattern, λ = 1.5418 Å (Cu Kα). Input: a DFT-relaxed cell (PBE, the Materials Project).
Intensities are scaled so that the largest is 100.

The 10 most intense peaks (2θ from 5° to 70°), in order of falling intensity:
2θ/deg  intensity
33.1  100.0
23.3  51.4
59.2  36.8
53.6  21.3
47.5  17.9
40.9  15.6
69.5  11.2
20.1  8.8
39.1  5.3
52.1  2.4

Cell and atoms:
Unit cell a=5.4090 b=5.4090 c=5.4090 alpha=60.00 beta=60.00 gamma=60.00
Positions (direct):
Sm (0.0000, 0.0000, 0.0000)
Y (0.5000, 0.5000, 0.5000)
Mg (0.2500, 0.2500, 0.2500)
Mg (0.7500, 0.7500, 0.7500)

[5]
# UBrN
Theoretical powder X-ray diffraction pattern, λ = 1.5418 Å (Cu Kα). Input: a DFT-relaxed cell (PBE, the Materials Project).
Intensities are scaled so that the largest is 100.

The 10 most intense peaks (2θ from 5° to 70°), in order of falling intensity:
2θ/deg  intensity
31.1  100.0
10.2  54.1
33.0  41.7
57.7  35.4
54.0  19.0
47.3  18.2
25.4  17.6
69.2  12.2
38.9  9.7
64.7  9.7

Cell and atoms:
Unit cell a=3.8401 b=3.8401 c=8.7054 alpha=90.00 beta=90.00 gamma=90.00
Positions (direct):
U (0.2500, 0.2500, 0.1339)
U (0.7500, 0.7500, 0.8661)
Br (0.2500, 0.2500, 0.6625)
Br (0.7500, 0.7500, 0.3375)
N (0.2500, 0.7500, 0.0000)
N (0.7500, 0.2500, 0.0000)

[6]
# CsHSO4
Theoretical powder X-ray diffraction pattern, λ = 1.5418 Å (Cu Kα). Input: a DFT-relaxed cell (PBE, the Materials Project).
Intensities are scaled so that the largest is 100.

The 10 most intense peaks (2θ from 5° to 70°), in order of falling intensity:
2θ/deg  intensity
24.6  100.0
23.8  63.1
32.0  45.5
23.0  38.8
28.2  34.3
40.2  25.9
36.7  24.5
28.7  20.1
28.8  19.1
17.7  18.0

Cell and atoms:
Unit cell a=7.8002 b=8.2109 c=8.0439 alpha=90.00 beta=106.32 gamma=90.00
Positions (direct):
Cs (0.2290, 0.1258, 0.1853)
Cs (0.2290, 0.3742, 0.6853)
Cs (0.7710, 0.6258, 0.3147)
Cs (0.7710, 0.8742, 0.8147)
H (0.3343, 0.6528, 0.9914)
H (0.3343, 0.8472, 0.4914)
H (0.6657, 0.1528, 0.5086)
H (0.6657, 0.3472, 0.0086)
S (0.2329, 0.6352, 0.2189)
S (0.2329, 0.8648, 0.7189)
S (0.7671, 0.1352, 0.2811)
S (0.7671, 0.3648, 0.7811)
O (0.0737, 0.7239, 0.1217)
O (0.0737, 0.7761, 0.6217)
O (0.1972, 0.0109, 0.8070)
O (0.1972, 0.4891, 0.3070)
O (0.3306, 0.5671, 0.0827)
O (0.3306, 0.9329, 0.5827)
O (0.3665, 0.7444, 0.3351)
O (0.3665, 0.7556, 0.8351)
O (0.6335, 0.2444, 0.1649)
O (0.6335, 0.2556, 0.6649)
O (0.6694, 0.0671, 0.4173)
O (0.6694, 0.4329, 0.9173)
O (0.8028, 0.5109, 0.6930)
O (0.8028, 0.9891, 0.1930)
O (0.9263, 0.2239, 0.3783)
O (0.9263, 0.2761, 0.8783)